Simulated XRD peak list of Ba2Na16Mg for Cu Ka, from a cell relaxed with GGA-PBE.
Lines closer than 0.1° are merged.

The 10 most intense peaks (2θ = 10–90°), most intense first:
| (hkl) | 2θ (°) | I/Imax |
| --- | --- | --- |
| 0 3 3 | 29.73 | 1000 |
| 1 1 3 | 21.05 | 781 |
| 2 2 0 | 29.51 | 608 |
| 3 0 0 | 25.49 | 497 |
| 0 0 6 | 30.34 | 453 |
| 4 1 3 | 42.41 | 429 |
| 1 1 0 | 14.63 | 419 |
| 2 2 6 | 42.84 | 324 |
| 0 2 4 | 26.39 | 288 |
| 3 3 3 | 47.66 | 239 |

Crystal structure
```
data_Ba2Na16Mg
_chemical_formula_sum 'Ba6 Na48 Mg3'
_cell_length_a 12.1062
_cell_length_b 12.1062
_cell_length_c 17.6629
_cell_angle_alpha 90.00
_cell_angle_beta 90.00
_cell_angle_gamma 120.00
_space_group_name_H-M_alt 'R 3 m'
_space_group_IT_number 160
_space_group_name_Hall 'R 3 -2"'
loop_
_atom_site_label
_atom_site_type_symbol
_atom_site_fract_x
_atom_site_fract_y
_atom_site_fract_z
Ba1 Ba 0.0000 0.0000 0.0000
Ba2 Ba 0.0000 0.0000 0.3246
Na1 Na 0.0000 0.0000 0.7515
Na2 Na 0.9996 0.2895 0.6563
Na3 Na 0.0067 0.5033 0.1572
Na4 Na 0.1687 0.3374 0.1376
Na5 Na 0.1699 0.3398 0.8431
Mg1 Mg 0.0000 0.0000 0.5549
```


Simulated XRD peak list of BaNaMg14 for Cu Ka, from a cell relaxed with GGA-PBE.
Lines closer than 0.1° are merged.

The 10 most intense peaks (2θ = 10–90°), most intense first:
| (hkl) | 2θ (°) | I/Imax |
| --- | --- | --- |
| 2 0 2 | 35.18 | 1000 |
| 1 0 1 | 17.38 | 310 |
| 2 0 0 | 30.78 | 268 |
| 0 0 4 | 33.60 | 247 |
| 2 0 6 | 61.10 | 198 |
| 1 0 2 | 22.63 | 192 |
| 2 2 4 | 65.78 | 192 |
| 2 2 0 | 54.74 | 175 |
| 1 0 0 | 15.25 | 173 |
| 2 0 4 | 46.21 | 167 |

Crystal structure
```
data_BaNaMg14
_chemical_formula_sum 'Ba1 Na1 Mg14'
_cell_length_a 6.7077
_cell_length_b 6.7077
_cell_length_c 10.6704
_cell_angle_alpha 90.00
_cell_angle_beta 90.00
_cell_angle_gamma 120.00
_space_group_name_H-M_alt 'P -6 m 2'
_space_group_IT_number 187
_space_group_name_Hall 'P -6 2'
loop_
_atom_site_label
_atom_site_type_symbol
_atom_site_fract_x
_atom_site_fract_y
_atom_site_fract_z
Ba1 Ba 0.0000 0.0000 0.0000
Na1 Na 0.0000 0.0000 0.5000
Mg1 Mg 0.0157 0.5079 0.0000
Mg2 Mg 0.1735 0.3471 0.2598
Mg3 Mg 0.5009 0.0019 0.5000
Mg4 Mg 0.6667 0.3333 0.2418
```


Simulated XRD peak list of Ba6Na23Mg for Cu Ka, from a cell relaxed with GGA-PBE.
Lines closer than 0.1° are merged.

The 10 most intense peaks (2θ = 10–90°), most intense first:
| (hkl) | 2θ (°) | I/Imax |
| --- | --- | --- |
| 3 3 3 | 26.94 | 1000 |
| 4 4 0 | 29.38 | 797 |
| 2 2 2 | 17.87 | 514 |
| 4 0 0 | 20.66 | 348 |
| 4 2 2 | 25.38 | 328 |
| 7 7 3 | 55.26 | 323 |
| 8 2 2 | 44.72 | 297 |
| 7 3 1 | 40.29 | 286 |
| 5 5 1 | 37.35 | 277 |
| 3 3 1 | 22.54 | 262 |

Crystal structure
```
data_Ba6Na23Mg
_chemical_formula_sum 'Ba24 Na92 Mg4'
_cell_length_a 17.1949
_cell_length_b 17.1949
_cell_length_c 17.1949
_cell_angle_alpha 90.00
_cell_angle_beta 90.00
_cell_angle_gamma 90.00
_space_group_name_H-M_alt 'F m -3 m'
_space_group_IT_number 225
_space_group_name_Hall '-F 4 2 3'
loop_
_atom_site_label
_atom_site_type_symbol
_atom_site_fract_x
_atom_site_fract_y
_atom_site_fract_z
Ba1 Ba 0.0000 0.0000 0.2066
Na1 Na 0.0000 0.0000 0.5000
Na2 Na 0.0000 0.2500 0.2500
Na3 Na 0.1190 0.1190 0.3810
Na4 Na 0.1699 0.1699 0.1699
Mg1 Mg 0.0000 0.0000 0.0000
```


Simulated XRD peak list of BaNaMg for Cu Ka, from a cell relaxed with GGA-PBE.
Lines closer than 0.1° are merged.

The 10 most intense peaks (2θ = 10–90°), most intense first:
| (hkl) | 2θ (°) | I/Imax |
| --- | --- | --- |
| 0 2 0 | 29.61 | 1000 |
| 1 1 1 | 21.80 | 692 |
| 2 0 0 | 13.94 | 326 |
| 0 0 2 | 29.03 | 222 |
| 4 2 0 | 41.29 | 160 |
| 0 2 2 | 41.99 | 160 |
| 3 1 3 | 51.81 | 160 |
| 3 3 1 | 52.59 | 156 |
| 4 0 0 | 28.10 | 131 |
| 7 1 1 | 54.91 | 102 |

Crystal structure
```
data_BaNaMg
_chemical_formula_sum 'Ba4 Na4 Mg4'
_cell_length_a 12.7023
_cell_length_b 6.0236
_cell_length_c 6.1514
_cell_angle_alpha 90.00
_cell_angle_beta 90.00
_cell_angle_gamma 90.00
_space_group_name_H-M_alt 'P n m a'
_space_group_IT_number 62
_space_group_name_Hall '-P 2ac 2n'
loop_
_atom_site_label
_atom_site_type_symbol
_atom_site_fract_x
_atom_site_fract_y
_atom_site_fract_z
Ba1 Ba 0.2445 0.2500 0.9997
Na1 Na 0.0563 0.2500 0.4994
Mg1 Mg 0.0619 0.7500 0.0002
```